Structure and simulated PXRD pattern of CsNd2PaS5 (the GGA-PBE geometry in Alexandria; Cu Kα (weighted mean of Kα1 and Kα2)).
Intensities are scaled so that the largest is 100.

The 10 most intense peaks (5° ≤ 2θ ≤ 70°), in order of falling intensity:
2θ (°)  d (Å)  I (rel.)  (hkl)
24.84  3.585  100  1 1 2
13.61  6.508  31  0 1 1
42.85  2.111  25  1 3 2
24.10  3.693  25  0 2 0
35.66  2.518  24  0 2 4
35.15  2.553  21  2 0 0
35.83  2.506  20  1 2 3
50.94  1.793  17  2 2 4
34.77  2.580  12  0 1 5
25.89  3.442  12  0 0 4

Crystal structure
Cell: 5.106 7.385 13.767 Å, 90.00 90.00 90.00°
Space group Immm (No. 71)
One atom of each set of equivalent atoms:
Cs  0.000  0.000  0.000 [2 per cell]
Nd  0.000  0.500  0.205 [4 per cell]
Pa  0.000  0.000  0.500 [2 per cell]
S  0.000  0.232  0.349 [8 per cell]
S  0.000  0.500  0.000 [2 per cell]


Structure and simulated PXRD pattern of Cs2NdPuSe4 (the GGA-PBE geometry in Alexandria; Cu Kα (weighted mean of Kα1 and Kα2)).
Intensities are scaled so that the largest is 100.

The 10 most intense peaks (5° ≤ 2θ ≤ 70°), in order of falling intensity:
2θ (°)  d (Å)  I (rel.)  (hkl)
27.46  3.248  100  2 0 -2
41.18  2.192  37  0 2 0
37.18  2.418  23  1 1 -3
10.57  8.367  20  0 0 1
50.21  1.817  19  2 2 -2
24.50  3.634  17  2 0 0
21.24  4.184  13  0 0 2
61.25  1.513  13  3 1 -5
37.15  2.420  11  2 0 2
43.20  2.094  11  1 1 3

Crystal structure
Cell: 7.600 4.380 8.742 Å, 90.00 106.84 90.00°
Space group P2/m (No. 10)
One atom of each set of equivalent atoms:
Cs  0.000  0.000  0.000 [1 per cell]
Cs  0.500  0.500  0.000 [1 per cell]
Nd  0.000  0.500  0.500 [1 per cell]
Pu  0.500  0.000  0.500 [1 per cell]
Se  0.233  0.000  0.690 [2 per cell]
Se  0.276  0.500  0.315 [2 per cell]


Structure and simulated PXRD pattern of Cs2NdS10 (the GGA-PBE geometry in Alexandria; Cu Kα (weighted mean of Kα1 and Kα2)).
Intensities are scaled so that the largest is 100.

The 10 most intense peaks (5° ≤ 2θ ≤ 70°), in order of falling intensity:
2θ (°)  d (Å)  I (rel.)  (hkl)
22.16  4.012  100  0 4 1
32.80  2.731  35  1 7 1
34.99  2.565  28  0 0 2
16.81  5.273  27  1 3 0
27.64  3.227  25  0 8 0
6.86  12.891  17  0 2 0
55.70  1.650  14  0 4 3
26.70  3.339  14  2 0 0
39.10  2.304  14  1 3 2
40.80  2.211  13  1 11 0

Crystal structure
Cell: 6.678 25.781 5.123 Å, 90.00 90.00 90.00°
Space group Pbam (No. 55)
One atom of each set of equivalent atoms:
Cs  0.029  0.134  0.000 [4 per cell]
Nd  0.000  0.500  0.500 [2 per cell]
S  0.030  0.407  0.199 [8 per cell]
S  0.093  0.031  0.500 [4 per cell]
S  0.164  0.714  0.500 [4 per cell]
S  0.237  0.285  0.500 [4 per cell]